Computed powder X-ray diffraction pattern of Sm4AsP2 for Cu Kα (λ = 1.5418 Å), from a PBE-relaxed structure.

Most intense lines, 2θ = 5–70°, most intense first:
- 2θ 29.62, rel. 100, hkl 0 2 4
- 2θ 30.37, rel. 77, hkl 1 3 1
- 2θ 32.51, rel. 43, hkl 1 3 2
- 2θ 30.26, rel. 39, hkl 1 1 3
- 2θ 54.20, rel. 35, hkl 2 2 4
- 2θ 26.33, rel. 30, hkl 1 1 2
- 2θ 44.30, rel. 24, hkl 2 0 0
- 2θ 45.19, rel. 22, hkl 1 5 3

abc: 4.090 13.396 13.511
angles: 90.00 90.00 90.00
Space group Cmcm (No. 63)
Symmetry-distinct sites (fractional):
Sm1 0.000 0.000 0.000 [4 per cell]
Sm2 0.000 0.271 0.120 [8 per cell]
Sm3 0.000 0.451 0.750 [4 per cell]
As1 0.000 0.107 0.750 [4 per cell]
P1 0.000 0.363 0.563 [8 per cell]

---

Computed powder X-ray diffraction pattern of SmThAsP for Cu Kα (λ = 1.5418 Å), from a PBE-relaxed structure.

Most intense lines, 2θ = 5–70°, most intense first:
- 2θ 30.32, rel. 100, hkl 1 1 0
- 2θ 26.12, rel. 86, hkl 1 0 1
- 2θ 43.26, rel. 76, hkl 1 1 2
- 2θ 30.11, rel. 51, hkl 0 0 2
- 2θ 53.73, rel. 40, hkl 2 0 2
- 2θ 43.41, rel. 38, hkl 2 0 0
- 2θ 51.36, rel. 29, hkl 2 1 1
- 2θ 51.10, rel. 15, hkl 1 0 3

abc: 4.169 4.169 5.936
angles: 90.00 90.00 90.00
Space group P4/mmm (No. 123)
Symmetry-distinct sites (fractional):
Sm1 0.000 0.000 0.000 [1 per cell]
Th1 0.500 0.500 0.500 [1 per cell]
As1 0.500 0.500 0.000 [1 per cell]
P1 0.000 0.000 0.500 [1 per cell]

---

Computed powder X-ray diffraction pattern of Sn4As6P for Cu Kα (λ = 1.5418 Å), from a PBE-relaxed structure.

Most intense lines, 2θ = 5–70°, most intense first:
- 2θ 28.53, rel. 100, hkl 4 0 0
- 2θ 23.82, rel. 99, hkl 3 1 -2
- 2θ 29.13, rel. 88, hkl 2 2 -2
- 2θ 28.70, rel. 72, hkl 1 1 3
- 2θ 26.30, rel. 55, hkl 4 0 -2
- 2θ 44.32, rel. 51, hkl 3 3 -3
- 2θ 33.01, rel. 48, hkl 3 1 2
- 2θ 24.31, rel. 48, hkl 2 0 2

abc: 13.669 7.326 13.126
angles: 90.00 113.70 90.00
Space group Cc (No. 9)
Symmetry-distinct sites (fractional):
Sn1 0.000 0.067 0.000 [4 per cell]
Sn2 0.126 0.256 0.328 [4 per cell]
Sn3 0.309 0.419 0.696 [4 per cell]
Sn4 0.324 0.122 0.006 [4 per cell]
As1 0.102 0.492 0.669 [4 per cell]
As2 0.133 0.293 0.952 [4 per cell]
As3 0.157 0.017 0.702 [4 per cell]
As4 0.320 0.258 0.510 [4 per cell]
As5 0.383 0.224 0.222 [4 per cell]
As6 0.447 0.245 0.885 [4 per cell]
P1 0.067 0.242 0.760 [4 per cell]

---

Computed powder X-ray diffraction pattern of Sn3AsP for Cu Kα (λ = 1.5418 Å), from a PBE-relaxed structure.

Most intense lines, 2θ = 5–70°, most intense first:
- 2θ 14.03, rel. 100, hkl 0 1 1
- 2θ 27.94, rel. 80, hkl 1 0 2
- 2θ 28.28, rel. 66, hkl 0 2 2
- 2θ 34.84, rel. 60, hkl 1 1 3
- 2θ 45.70, rel. 41, hkl 1 2 4
- 2θ 37.15, rel. 35, hkl 0 3 1
- 2θ 44.49, rel. 33, hkl 1 3 1
- 2θ 33.93, rel. 32, hkl 1 2 0

abc: 3.767 7.414 12.036
angles: 90.00 90.00 90.00
Space group Amm2 (No. 38)
Symmetry-distinct sites (fractional):
Sn1 0.000 0.000 0.000 [2 per cell]
Sn2 0.500 0.206 0.795 [4 per cell]
As1 0.500 0.000 0.158 [2 per cell]
P1 0.000 0.000 0.685 [2 per cell]

---

Computed powder X-ray diffraction pattern of Sr2Sn2As2P for Cu Kα (λ = 1.5418 Å), from a PBE-relaxed structure.

Most intense lines, 2θ = 5–70°, most intense first:
- 2θ 27.89, rel. 100, hkl 1 0 -2
- 2θ 41.13, rel. 74, hkl 1 2 -3
- 2θ 26.67, rel. 56, hkl 0 2 -1
- 2θ 28.67, rel. 50, hkl 1 1 -2
- 2θ 33.51, rel. 49, hkl 1 1 1
- 2θ 42.37, rel. 45, hkl 2 0 -1
- 2θ 27.49, rel. 39, hkl 0 2 0
- 2θ 24.76, rel. 25, hkl 1 -1 0

abc: 4.267 6.776 7.863
angles: 106.05 105.69 90.12
Space group P-1 (No. 2)
Symmetry-distinct sites (fractional):
Sr1 0.150 0.172 0.300 [2 per cell]
Sn1 0.425 0.310 0.851 [2 per cell]
As1 0.183 0.676 0.367 [2 per cell]
P1 0.500 0.000 0.000 [1 per cell]

---

Computed powder X-ray diffraction pattern of Sr3As4P for Cu Kα (λ = 1.5418 Å), from a PBE-relaxed structure.

Most intense lines, 2θ = 5–70°, most intense first:
- 2θ 33.92, rel. 100, hkl 3 0 1
- 2θ 32.37, rel. 71, hkl 2 3 0
- 2θ 33.71, rel. 68, hkl 2 3 1
- 2θ 28.82, rel. 60, hkl 0 1 3
- 2θ 31.96, rel. 56, hkl 0 4 0
- 2θ 29.76, rel. 55, hkl 1 0 3
- 2θ 38.96, rel. 48, hkl 2 2 3
- 2θ 32.74, rel. 39, hkl 2 2 2

abc: 8.235 11.200 9.671
angles: 90.00 90.00 90.00
Space group Pnma (No. 62)
Symmetry-distinct sites (fractional):
Sr1 0.035 0.052 0.191 [8 per cell]
Sr2 0.131 0.750 0.419 [4 per cell]
As1 0.024 0.750 0.096 [4 per cell]
As2 0.138 0.041 0.527 [8 per cell]
As3 0.203 0.750 0.726 [4 per cell]
P1 0.246 0.250 0.458 [4 per cell]

---

Computed powder X-ray diffraction pattern of SrZn2AsP for Cu Kα (λ = 1.5418 Å), from a PBE-relaxed structure.

Most intense lines, 2θ = 5–70°, most intense first:
- 2θ 32.86, rel. 100, hkl 2 0 2
- 2θ 12.62, rel. 89, hkl 0 0 2
- 2θ 39.87, rel. 65, hkl 2 0 4
- 2θ 43.26, rel. 53, hkl 2 2 0
- 2θ 33.33, rel. 39, hkl 1 1 4
- 2θ 24.78, rel. 26, hkl 1 1 2
- 2θ 44.38, rel. 23, hkl 1 1 6
- 2θ 55.69, rel. 18, hkl 3 1 4

abc: 5.915 5.915 14.032
angles: 90.00 90.00 90.00
Space group I4cm (No. 108)
Symmetry-distinct sites (fractional):
Sr1 0.000 0.000 0.000 [4 per cell]
Zn1 0.249 0.251 0.200 [8 per cell]
As1 0.000 0.500 0.076 [4 per cell]
P1 0.000 0.000 0.286 [4 per cell]

---

Computed powder X-ray diffraction pattern of TbAsP for Cu Kα (λ = 1.5418 Å), from a PBE-relaxed structure.

Most intense lines, 2θ = 5–70°, most intense first:
- 2θ 24.53, rel. 100, hkl 1 1 1
- 2θ 31.28, rel. 80, hkl 2 0 0
- 2θ 35.22, rel. 56, hkl 0 0 3
- 2θ 32.28, rel. 54, hkl 0 2 1
- 2θ 31.93, rel. 51, hkl 1 1 2
- 2θ 38.33, rel. 48, hkl 0 2 2
- 2θ 47.82, rel. 47, hkl 2 0 3
- 2θ 50.28, rel. 43, hkl 2 2 2

abc: 5.719 5.953 7.644
angles: 90.00 90.00 90.00
Space group Cmme (No. 67)
Symmetry-distinct sites (fractional):
Tb1 0.000 0.250 0.174 [4 per cell]
As1 0.000 0.000 0.500 [4 per cell]
P1 0.000 0.250 0.805 [4 per cell]

---

Computed powder X-ray diffraction pattern of Tb7AsP5 for Cu Kα (λ = 1.5418 Å), from a PBE-relaxed structure.

Most intense lines, 2θ = 5–70°, most intense first:
- 2θ 29.71, rel. 100, hkl 0 2 7
- 2θ 31.02, rel. 77, hkl 1 3 2
- 2θ 32.19, rel. 66, hkl 1 3 3
- 2θ 45.08, rel. 54, hkl 2 0 0
- 2θ 27.68, rel. 50, hkl 1 1 4
- 2θ 45.29, rel. 44, hkl 0 6 5
- 2θ 54.95, rel. 36, hkl 2 2 7
- 2θ 27.19, rel. 27, hkl 0 4 1

abc: 4.020 13.246 23.624
angles: 90.00 90.00 90.00
Space group Cmcm (No. 63)
Symmetry-distinct sites (fractional):
Tb1 0.000 0.045 0.250 [4 per cell]
Tb2 0.000 0.137 0.535 [8 per cell]
Tb3 0.000 0.321 0.175 [8 per cell]
Tb4 0.000 0.411 0.605 [8 per cell]
As1 0.000 0.297 0.750 [4 per cell]
P1 0.000 0.044 0.645 [8 per cell]
P2 0.000 0.228 0.074 [8 per cell]
P3 0.000 0.500 0.000 [4 per cell]

---

Computed powder X-ray diffraction pattern of Tb7As5P for Cu Kα (λ = 1.5418 Å), from a PBE-relaxed structure.

Most intense lines, 2θ = 5–70°, most intense first:
- 2θ 44.30, rel. 100, hkl 0 6 5
- 2θ 29.19, rel. 99, hkl 0 2 7
- 2θ 31.58, rel. 85, hkl 1 3 3
- 2θ 30.43, rel. 83, hkl 1 3 2
- 2θ 44.40, rel. 38, hkl 2 0 0
- 2θ 54.02, rel. 36, hkl 2 2 7
- 2θ 46.14, rel. 33, hkl 0 6 6
- 2θ 32.64, rel. 31, hkl 0 2 8

abc: 4.081 13.564 23.998
angles: 90.00 90.00 90.00
Space group Cmcm (No. 63)
Symmetry-distinct sites (fractional):
Tb1 0.000 0.057 0.250 [4 per cell]
Tb2 0.000 0.137 0.536 [8 per cell]
Tb3 0.000 0.316 0.179 [8 per cell]
Tb4 0.000 0.412 0.606 [8 per cell]
As1 0.000 0.046 0.648 [8 per cell]
As2 0.000 0.227 0.074 [8 per cell]
As3 0.000 0.500 0.000 [4 per cell]
P1 0.000 0.298 0.750 [4 per cell]

---

Computed powder X-ray diffraction pattern of Tb5As4P for Cu Kα (λ = 1.5418 Å), from a PBE-relaxed structure.

Most intense lines, 2θ = 5–70°, most intense first:
- 2θ 30.71, rel. 100, hkl 0 0 2
- 2θ 43.98, rel. 74, hkl 1 3 2
- 2θ 26.51, rel. 30, hkl 2 1 1
- 2θ 54.59, rel. 26, hkl 4 2 2
- 2θ 52.09, rel. 15, hkl 2 1 3
- 2θ 63.95, rel. 12, hkl 0 0 4

abc: 9.207 9.207 5.824
angles: 90.00 90.00 90.00
Space group I4/m (No. 87)
Symmetry-distinct sites (fractional):
Tb1 0.000 0.000 0.000 [2 per cell]
Tb2 0.099 0.296 0.500 [8 per cell]
As1 0.099 0.300 0.000 [8 per cell]
P1 0.000 0.000 0.500 [2 per cell]

---

Computed powder X-ray diffraction pattern of TeAs2P for Cu Kα (λ = 1.5418 Å), from a PBE-relaxed structure.

Most intense lines, 2θ = 5–70°, most intense first:
- 2θ 32.17, rel. 100, hkl 1 1 -1
- 2θ 31.45, rel. 54, hkl 1 0 1
- 2θ 43.71, rel. 35, hkl 0 1 2
- 2θ 47.45, rel. 35, hkl 2 1 0
- 2θ 29.40, rel. 29, hkl 0 1 1
- 2θ 57.59, rel. 19, hkl 1 2 1
- 2θ 46.93, rel. 18, hkl 0 2 0
- 2θ 35.54, rel. 16, hkl 1 0 -2

abc: 4.673 3.872 5.194
angles: 90.00 109.30 90.00
Space group P2/m (No. 10)
Symmetry-distinct sites (fractional):
Te1 0.000 0.000 0.000 [1 per cell]
As1 0.253 0.500 0.695 [2 per cell]
P1 0.500 0.000 0.500 [1 per cell]

---

Computed powder X-ray diffraction pattern of Th4Te2AsP for Cu Kα (λ = 1.5418 Å), from a PBE-relaxed structure.

Most intense lines, 2θ = 5–70°, most intense first:
- 2θ 29.12, rel. 100, hkl 1 1 1
- 2θ 42.49, rel. 39, hkl 0 2 0
- 2θ 25.48, rel. 25, hkl 1 1 -1
- 2θ 40.76, rel. 22, hkl 1 1 -3
- 2θ 31.60, rel. 13, hkl 1 1 -2
- 2θ 52.29, rel. 13, hkl 2 2 -2
- 2θ 69.66, rel. 11, hkl 4 2 0
- 2θ 40.86, rel. 11, hkl 2 0 2

abc: 7.360 4.260 7.777
angles: 90.00 108.52 90.00
Space group P2/m (No. 10)
Symmetry-distinct sites (fractional):
Th1 0.227 0.000 0.210 [2 per cell]
Th2 0.252 0.500 0.786 [2 per cell]
Te1 0.000 0.000 0.500 [1 per cell]
Te2 0.500 0.500 0.500 [1 per cell]
As1 0.500 0.000 0.000 [1 per cell]
P1 0.000 0.500 0.000 [1 per cell]